(1)
Theoretical powder XRD pattern of Li2Si2NiO6 for CuKα, from a cell relaxed with PBE+U.
Peak positions follow from Bragg's law for the DFT cell and can differ from measured ones.

Top 6 peaks for 2θ from 10° to 80°, by angle:
2θ/deg	d (Å)	I (rel.)
18.0	4.929	12
22.1	4.029	100
28.6	3.124	14
35.3	2.544	33
36.3	2.472	13
36.9	2.435	14

Structure:
Cell: 5.089 10.178 10.526 Å, 103.90 103.89 90.38°
Space group P1 (No. 1)
Symmetry-distinct sites (fractional):
1 Li 0.000 0.000 0.000
2 Li 0.000 0.500 0.000
3 Li 0.086 0.293 0.172
4 Li 0.087 0.793 0.173
5 Li 0.365 0.683 0.673
6 Li 0.366 0.183 0.672
7 Li 0.779 0.640 0.501
8 Li 0.780 0.140 0.500
9 Si 0.144 0.385 0.501
10 Si 0.144 0.885 0.502
11 Si 0.510 0.319 0.001
12 Si 0.511 0.819 0.002
13 Si 0.595 0.111 0.171
14 Si 0.596 0.611 0.172
15 Si 0.728 0.928 0.671
16 Si 0.729 0.427 0.671
17 Ni 0.177 0.094 0.336
18 Ni 0.177 0.595 0.337
19 Ni 0.926 0.720 0.837
20 Ni 0.927 0.220 0.836
21 O 0.125 0.408 0.352
22 O 0.127 0.909 0.354
23 O 0.141 0.726 0.507
24 O 0.142 0.225 0.506
25 O 0.315 0.254 0.853
26 O 0.315 0.753 0.854
27 O 0.416 0.973 0.614
28 O 0.418 0.473 0.612
29 O 0.420 0.475 0.059
30 O 0.420 0.975 0.060
31 O 0.446 0.238 0.113
32 O 0.448 0.738 0.114
33 O 0.548 0.620 0.320
34 O 0.549 0.121 0.319
35 O 0.721 0.766 0.666
36 O 0.722 0.266 0.666
37 O 0.834 0.323 0.006
38 O 0.834 0.822 0.007
39 O 0.858 0.525 0.819
40 O 0.859 0.025 0.819
41 O 0.889 0.960 0.559
42 O 0.891 0.460 0.560
43 O 0.914 0.113 0.165
44 O 0.915 0.612 0.167

(2)
Theoretical powder XRD pattern of Li2SiNiO4 for CuKα, from a cell relaxed with PBE+U.
Peak positions follow from Bragg's law for the DFT cell and can differ from measured ones.

Top 6 peaks for 2θ from 10° to 80°, by angle:
2θ/deg	d (Å)	I (rel.)
21.7	4.100	100
22.5	3.951	97
32.6	2.746	61
33.6	2.669	31
35.8	2.511	52
59.4	1.555	37

Structure:
Cell: 10.676 5.021 6.403 Å, 90.00 90.00 90.00°
Space group Pna2_1 (No. 33)
Symmetry-distinct sites (fractional):
1 Li 0.080 0.207 0.000
2 Li 0.163 0.807 0.250
3 Si 0.085 0.312 0.499
4 Ni 0.165 0.807 0.744
5 O 0.061 0.795 0.998
6 O 0.086 0.641 0.497
7 O 0.158 0.205 0.712
8 O 0.159 0.209 0.288

(3)
Theoretical powder XRD pattern of Li2Ni2SnO6 for CuKα, from a cell relaxed with PBE+U.
Peak positions follow from Bragg's law for the DFT cell and can differ from measured ones.

Top 6 peaks for 2θ from 10° to 80°, by angle:
2θ/deg	d (Å)	I (rel.)
17.5	5.063	100
36.0	2.495	39
38.2	2.354	23
44.2	2.047	39
57.9	1.592	20
61.8	1.502	18

Structure:
Cell: 8.826 5.318 10.126 Å, 90.00 90.00 90.00°
Space group Cmce (No. 64)
Symmetry-distinct sites (fractional):
1 Li 0.250 0.109 0.250
2 Ni 0.164 0.000 0.000
3 Sn 0.000 0.000 0.500
4 O 0.000 0.147 0.902
5 O 0.181 0.145 0.609

(4)
Theoretical powder XRD pattern of Li2Ni2SnO6 for CuKα, from a cell relaxed with PBE+U.
Peak positions follow from Bragg's law for the DFT cell and can differ from measured ones.

Top 6 peaks for 2θ from 10° to 80°, by angle:
2θ/deg	d (Å)	I (rel.)
18.1	4.903	100
35.0	2.565	31
35.5	2.528	13
42.3	2.135	20
42.5	2.126	19
43.2	2.096	18

Structure:
Cell: 6.633 6.744 8.503 Å, 71.75 71.43 83.72°
Space group P-1 (No. 2)
Symmetry-distinct sites (fractional):
1 Li 0.004 0.126 0.339
2 Li 0.315 0.150 0.004
3 Li 0.338 0.489 0.674
4 Ni 0.009 0.162 0.837
5 Ni 0.330 0.844 0.824
6 Ni 0.341 0.164 0.495
7 Sn 0.000 0.500 0.500
8 Sn 0.327 0.505 0.161
9 O 0.001 0.469 0.750
10 O 0.018 0.873 0.897
11 O 0.041 0.177 0.561
12 O 0.303 0.832 0.058
13 O 0.304 0.162 0.741
14 O 0.329 0.492 0.410
15 O 0.346 0.488 0.918
16 O 0.353 0.182 0.249
17 O 0.357 0.845 0.597

(5)
Theoretical powder XRD pattern of LiNiSnO4 for CuKα, from a cell relaxed with PBE+U.
Peak positions follow from Bragg's law for the DFT cell and can differ from measured ones.

Top 6 peaks for 2θ from 10° to 80°, by angle:
2θ/deg	d (Å)	I (rel.)
17.5	5.076	40
18.3	4.859	100
34.3	2.616	43
40.9	2.204	26
42.6	2.124	44
60.5	1.529	31

Structure:
Cell: 5.823 6.209 8.816 Å, 90.00 90.00 90.00°
Space group Imma (No. 74)
Symmetry-distinct sites (fractional):
1 Li 0.000 0.250 0.126
2 Ni 0.250 0.250 0.750
3 Sn 0.000 0.000 0.500
4 O 0.000 0.041 0.740
5 O 0.236 0.250 0.506

(6)
Theoretical powder XRD pattern of Li5Ni5Sn2O12 for CuKα, from a cell relaxed with PBE+U.
Peak positions follow from Bragg's law for the DFT cell and can differ from measured ones.

Top 6 peaks for 2θ from 10° to 80°, by angle:
2θ/deg	d (Å)	I (rel.)
18.1	4.889	66
19.7	4.516	45
23.2	3.832	60
36.6	2.454	61
42.5	2.127	100
42.7	2.116	50

Structure:
Cell: 5.204 9.031 9.942 Å, 90.00 100.41 90.00°
Space group C2 (No. 5)
Symmetry-distinct sites (fractional):
1 Li 0.000 0.000 0.000
2 Li 0.248 0.481 0.248
3 Li 0.248 0.839 0.245
4 Ni 0.000 0.333 0.000
5 Ni 0.000 0.498 0.500
6 Ni 0.000 0.829 0.500
7 Ni 0.248 0.162 0.247
8 Sn 0.000 0.164 0.500
9 Sn 0.000 0.666 0.000
10 O 0.114 0.498 0.880
11 O 0.117 0.177 0.883
12 O 0.121 0.663 0.381
13 O 0.129 0.003 0.378
14 O 0.130 0.820 0.874
15 O 0.131 0.325 0.380

(7)
Theoretical powder XRD pattern of Li4Ni3Sn5O16 for CuKα, from a cell relaxed with PBE+U.
Peak positions follow from Bragg's law for the DFT cell and can differ from measured ones.

Top 6 peaks for 2θ from 10° to 80°, by angle:
2θ/deg	d (Å)	I (rel.)
18.1	4.905	58
19.1	4.646	100
19.2	4.613	46
34.3	2.611	35
34.8	2.576	72
35.3	2.541	40

Structure:
Cell: 6.050 6.111 9.810 Å, 89.26 89.93 60.57°
Space group P1 (No. 1)
Symmetry-distinct sites (fractional):
1 Li 0.000 0.000 0.000
2 Li 0.012 0.009 0.510
3 Li 0.322 0.316 0.605
4 Li 0.653 0.661 0.094
5 Ni 0.158 0.161 0.282
6 Ni 0.328 0.820 0.785
7 Ni 0.817 0.331 0.782
8 Sn 0.156 0.651 0.282
9 Sn 0.316 0.322 0.003
10 Sn 0.646 0.648 0.512
11 Sn 0.650 0.159 0.284
12 Sn 0.819 0.822 0.783
13 O 0.012 0.981 0.693
14 O 0.020 0.477 0.152
15 O 0.147 0.158 0.893
16 O 0.148 0.671 0.904
17 O 0.314 0.822 0.402
18 O 0.322 0.324 0.397
19 O 0.474 0.476 0.152
20 O 0.475 0.025 0.151
21 O 0.507 0.952 0.653
22 O 0.510 0.499 0.666
23 O 0.634 0.667 0.888
24 O 0.669 0.160 0.898
25 O 0.823 0.316 0.403
26 O 0.827 0.826 0.407
27 O 0.951 0.495 0.660
28 O 0.989 0.992 0.185

(8)
Theoretical powder XRD pattern of Li3Ni4SnO8 for CuKα, from a cell relaxed with PBE+U.
Peak positions follow from Bragg's law for the DFT cell and can differ from measured ones.

Top 6 peaks for 2θ from 10° to 80°, by angle:
2θ/deg	d (Å)	I (rel.)
18.2	4.887	98
35.1	2.554	33
36.8	2.443	40
42.7	2.119	100
61.8	1.502	30
62.1	1.495	29

Structure:
Cell: 10.365 5.976 6.005 Å, 90.00 125.03 90.00°
Space group C2/m (No. 12)
Symmetry-distinct sites (fractional):
1 Li 0.000 0.000 0.000
2 Li 0.250 0.250 0.500
3 Ni 0.000 0.000 0.500
4 Ni 0.000 0.500 0.000
5 Ni 0.250 0.250 0.000
6 Sn 0.000 0.500 0.500
7 O 0.000 0.254 0.255
8 O 0.246 0.500 0.760
9 O 0.249 0.500 0.226

(9)
Theoretical powder XRD pattern of LiNiSnO4 for CuKα, from a cell relaxed with PBE+U.
Peak positions follow from Bragg's law for the DFT cell and can differ from measured ones.

Top 6 peaks for 2θ from 10° to 80°, by angle:
2θ/deg	d (Å)	I (rel.)
17.9	4.953	100
34.3	2.613	29
34.5	2.597	22
36.3	2.473	22
41.5	2.178	37
42.7	2.116	18

Structure:
Cell: 5.187 3.045 5.328 Å, 90.00 107.28 90.00°
Space group P2/m (No. 10)
Symmetry-distinct sites (fractional):
1 Li 0.000 0.000 0.000
2 Ni 0.500 0.500 0.000
3 Sn 0.500 0.000 0.500
4 O 0.271 0.500 0.268
5 O 0.301 0.000 0.798

(10)
Theoretical powder XRD pattern of LiNiSnO4 for CuKα, from a cell relaxed with PBE+U.
Peak positions follow from Bragg's law for the DFT cell and can differ from measured ones.

Top 6 peaks for 2θ from 10° to 80°, by angle:
2θ/deg	d (Å)	I (rel.)
17.6	5.039	47
18.1	4.891	100
34.3	2.612	27
35.6	2.519	23
41.9	2.155	53
42.3	2.137	26

Structure:
Cell: 8.557 8.622 5.938 Å, 90.00 133.47 90.00°
Space group C2/c (No. 15)
Symmetry-distinct sites (fractional):
1 Li 0.250 0.250 0.000
2 Ni 0.000 0.000 0.000
3 Sn 0.250 0.250 0.500
4 O 0.002 0.246 0.013
5 O 0.203 0.006 0.452